This entry pairs a crystal structure of UBiPdS4 with its simulated powder diffraction line list. Radiation: a wavelength of 1.5418 Å. Structure: a crystal structure in Alexandria, relaxed with GGA-PBE.

Structure:
a b c (Å): 6.6122 5.9150 8.1202
angles (deg): 90.00 107.36 90.00
Positions (direct):
U  0.2387  0.2500  0.0469
U  0.7613  0.7500  0.9531
Bi  0.2820  0.2500  0.5298
Bi  0.7180  0.7500  0.4702
Pd  0.2335  0.7500  0.8580
Pd  0.7665  0.2500  0.1420
S  0.0398  0.5155  0.2278
S  0.0398  0.9845  0.2278
S  0.4240  0.7500  0.6281
S  0.4775  0.7500  0.1306
S  0.5225  0.2500  0.8694
S  0.5760  0.2500  0.3719
S  0.9602  0.0155  0.7722
S  0.9602  0.4845  0.7722

The 10 most intense peaks (15 to 90 degrees two-theta), in order of falling intensity:
two_theta  d (Å)  intensity
20.58  4.315  100
34.10  2.629  68
30.22  2.957  63
27.62  3.229  59
41.86  2.158  49
38.29  2.351  44
30.74  2.908  44
28.28  3.156  42
22.95  3.875  33
27.52  3.242  30

This entry pairs a crystal structure of ZrPa2As3 with its simulated powder diffraction line list. Radiation: a wavelength of 1.5418 Å. Structure: a crystal structure in Alexandria, relaxed with GGA-PBE.

Structure:
a b c (Å): 8.9598 8.9598 8.9598
angles (deg): 153.91 153.91 37.22
Positions (direct):
Zr  0.0000  0.0000  0.0000
Pa  0.3336  0.3336  0.0000
Pa  0.6664  0.6664  0.0000
As  0.1622  0.1622  0.0000
As  0.5000  0.5000  0.0000
As  0.8378  0.8378  0.0000

The 10 most intense peaks (15 to 90 degrees two-theta), in order of falling intensity:
two_theta  d (Å)  intensity
31.28  2.860  100
45.07  2.012  73
31.61  2.830  48
27.10  3.291  46
55.88  1.645  39
44.82  2.022  37
82.83  1.165  26
74.14  1.279  17
74.32  1.276  17
74.86  1.268  16

This entry pairs a crystal structure of Ca13Mg2 with its simulated powder diffraction line list. Radiation: a wavelength of 1.5418 Å. Structure: a crystal structure in Alexandria, relaxed with GGA-PBE.

Structure:
a b c (Å): 7.1317 9.3455 9.7378
angles (deg): 67.64 81.19 80.89
Positions (direct):
Ca  0.0000  0.0000  0.0000
Ca  0.0497  0.4130  0.7097
Ca  0.2023  0.1766  0.2292
Ca  0.2578  0.5915  0.9420
Ca  0.2900  0.9948  0.6498
Ca  0.4329  0.3853  0.4068
Ca  0.4710  0.7992  0.1498
Ca  0.5290  0.2008  0.8502
Ca  0.5671  0.6147  0.5932
Ca  0.7100  0.0052  0.3502
Ca  0.7422  0.4085  0.0580
Ca  0.7977  0.8234  0.7708
Ca  0.9503  0.5870  0.2903
Mg  0.1335  0.7858  0.4641
Mg  0.8665  0.2142  0.5359

The 10 most intense peaks (15 to 90 degrees two-theta), in order of falling intensity:
two_theta  d (Å)  intensity
29.02  3.077  100
29.90  2.988  97
29.59  3.019  96
52.17  1.753  22
41.97  2.153  16
53.18  1.722  16
43.61  2.075  16
41.04  2.199  15
53.29  1.719  15
51.54  1.773  15

This entry pairs a crystal structure of Ho3Er2Th3 with its simulated powder diffraction line list. Radiation: a wavelength of 1.5418 Å. Structure: a crystal structure in Alexandria, relaxed with GGA-PBE.

Structure:
a b c (Å): 6.1008 6.1604 7.9130
angles (deg): 105.04 104.78 109.52
Positions (direct):
Ho  0.0000  0.0000  0.0000
Ho  0.1232  0.6234  0.2468
Ho  0.8768  0.3766  0.7532
Er  0.2514  0.2516  0.5028
Er  0.7486  0.7484  0.4972
Th  0.3768  0.8768  0.7537
Th  0.5000  0.5000  0.0000
Th  0.6232  0.1232  0.2463

The 10 most intense peaks (15 to 90 degrees two-theta), in order of falling intensity:
two_theta  d (Å)  intensity
35.88  2.503  100
30.93  2.891  99
30.80  2.903  50
31.11  2.875  49
51.44  1.776  24
51.65  1.770  24
51.84  1.764  24
61.32  1.512  22
61.43  1.509  21
61.20  1.514  14